Diffraction record for PrErGa4Ir2. The PXRD pattern is theoretical, not measured: it uses a crystal structure in OQMD, relaxed with GGA-PBE and Cu Kα.
Intensities are scaled so that the largest is 100.

```
PrErGa4Ir2
1.0
4.2092 0.0000 0.0000
0.0000 7.0957 0.0000
-2.0759 0.0000 5.1603
Pr Er Ga Ir
1 1 4 2
Direct
0.0000 0.0000 0.0000
0.8586 0.5000 0.7178
0.2852 0.2010 0.5687
0.2852 0.7990 0.5687
0.5757 0.3078 0.1551
0.5757 0.6922 0.1551
0.1396 0.5000 0.2843
0.7182 0.0000 0.4341
```

Largest 12 diffraction maxima, in order of falling intensity, 10° ≤ 2θ ≤ 80°:
- 2θ 34.18, I = 100
- 2θ 37.08, I = 68
- 2θ 35.93, I = 66
- 2θ 36.10, I = 66
- 2θ 42.98, I = 50
- 2θ 25.10, I = 44
- 2θ 44.82, I = 35
- 2θ 51.56, I = 32
- 2θ 17.18, I = 26
- 2θ 26.09, I = 19
- 2θ 22.82, I = 19
- 2θ 57.87, I = 19

---

Diffraction record for GdLu2Ge4Au4. The PXRD pattern is theoretical, not measured: it uses a crystal structure in OQMD, relaxed with GGA-PBE and Cu Kα.
Intensities are scaled so that the largest is 100.

```
GdLu2Ge4Au4
1.0
-2.1486 3.5349 7.2878
2.1486 -3.5349 7.2878
2.1486 3.5349 -7.2878
Gd Lu Ge Au
1 2 4 4
Direct
0.0000 0.0000 0.0000
0.3746 0.8746 0.5000
0.6254 0.1254 0.5000
0.2176 0.2176 0.0000
0.3179 0.5000 0.8179
0.6821 0.5000 0.1821
0.7824 0.7824 0.0000
0.0369 0.3337 0.7032
0.3695 0.6663 0.7032
0.6305 0.3337 0.2968
0.9631 0.6663 0.2968
```

Largest 12 diffraction maxima, in order of falling intensity, 10° ≤ 2θ ≤ 80°:
- 2θ 33.39, I = 100
- 2θ 34.68, I = 75
- 2θ 37.80, I = 53
- 2θ 42.05, I = 46
- 2θ 42.64, I = 40
- 2θ 37.00, I = 28
- 2θ 61.44, I = 27
- 2θ 27.71, I = 23
- 2θ 33.24, I = 23
- 2θ 12.14, I = 17
- 2θ 61.15, I = 17
- 2θ 75.43, I = 17

---

Diffraction record for GdYB2Pd2N2. The PXRD pattern is theoretical, not measured: it uses a crystal structure in OQMD, relaxed with GGA-PBE and Cu Kα.
Intensities are scaled so that the largest is 100.

```
GdYB2Pd2N2
1.0
3.7119 0.0000 0.0000
0.0000 3.7119 0.0000
0.0000 0.0000 7.6516
Gd Y B Pd N
1 1 2 2 2
Direct
0.0000 0.0000 0.0000
0.5000 0.5000 0.6752
0.0000 0.0000 0.5098
0.5000 0.5000 0.1636
0.0000 0.5000 0.3376
0.5000 0.0000 0.3376
0.0000 0.0000 0.6964
0.5000 0.5000 0.9764
```

Largest 12 diffraction maxima, in order of falling intensity, 10° ≤ 2θ ≤ 80°:
- 2θ 36.18, I = 100
- 2θ 41.73, I = 62
- 2θ 26.69, I = 52
- 2θ 35.19, I = 46
- 2θ 33.64, I = 41
- 2θ 49.09, I = 40
- 2θ 61.82, I = 35
- 2θ 11.57, I = 27
- 2θ 59.83, I = 27
- 2θ 60.83, I = 15
- 2θ 56.75, I = 14
- 2θ 71.95, I = 12